This entry pairs a crystal structure of FeH12C4S4N10 with its simulated powder XRD pattern. Radiation: Cu Kα (λ = 1.5418 Å). Structure: a structure optimized by DFT (PBE).

```
FeH12C4S4N10
1.0
5.426 0.000 0.000
0.219 8.010 0.000
1.030 1.712 8.424
Fe H C S N
1 12 4 4 10
Cartesian
0.000 0.000 0.000
0.738 3.082 4.935
1.294 2.998 2.116
1.673 5.573 4.008
2.356 3.893 8.327
2.608 7.762 4.196
2.145 1.101 0.862
4.529 8.620 7.561
4.067 1.959 4.228
4.319 5.828 0.096
5.001 4.148 4.415
5.380 6.723 6.308
5.936 6.640 3.489
1.510 8.034 5.902
2.011 5.845 1.256
4.663 3.876 7.167
5.164 1.687 2.521
2.145 1.419 6.423
3.014 4.719 1.890
3.661 5.002 6.533
4.529 8.302 2.000
1.050 6.332 4.310
0.764 2.163 1.812
1.324 6.694 0.794
1.834 7.405 4.760
1.203 1.471 0.648
5.471 8.250 7.776
4.840 2.316 3.664
5.351 3.027 7.630
5.910 7.558 6.611
5.624 3.389 4.114
```

Most intense lines, 10° ≤ 2θ ≤ 80°, most intense first:
index	two_theta	I (rel.)
1 -1 1	22.82	100.0
1 1 0	19.97	85.3
0 1 0	11.27	70.1
0 0 1	10.50	53.3
1 2 2	31.11	47.3
1 0 -2	28.37	40.4